(1)
Starting from a DFT-relaxed cell (GGA-PBE, Alexandria), the powder diffraction line list of ErCr2Fe10 was computed for Cu Kα (λ = 1.5418 Å).
Lines closer than 0.1° are merged.

Top 12 peaks for 2θ from 10° to 90°, by intensity:
(hkl)	2θ (°)	I/Imax
0 4 0	43.53	100
1 3 2	43.68	78
2 0 2	44.44	52
2 2 0	44.56	47
0 0 4	43.04	43
1 1 2	30.59	35
1 3 0	37.76	32
1 2 1	30.72	29
1 0 3	37.44	29
2 2 2	49.82	28
2 0 0	38.62	23
2 0 6	79.90	22

Structure:
Unit cell a=4.6623 b=8.3135 c=8.4073 alpha=90.00 beta=90.00 gamma=90.00
Space group Immm (No. 71)
One atom of each set of equivalent atoms:
Er 0.0000 0.0000 0.0000 (multiplicity 2)
Cr 0.0000 0.0000 0.3683 (multiplicity 4)
Fe 0.0000 0.2774 0.5000 (multiplicity 4)
Fe 0.0000 0.3580 0.0000 (multiplicity 4)
Fe 0.0000 0.5000 0.2711 (multiplicity 4)
Fe 0.2500 0.2500 0.2500 (multiplicity 8)

***

(2)
Starting from a DFT-relaxed cell (GGA-PBE, Alexandria), the powder diffraction line list of LaEr2CrN4 was computed for Cu Kα (λ = 1.5418 Å).
Lines closer than 0.1° are merged.

Top 12 peaks for 2θ from 10° to 90°, by intensity:
(hkl)	2θ (°)	I/Imax
1 1 2	31.40	100
0 2 3	27.78	67
1 3 2	38.44	59
1 3 1	35.93	49
0 4 0	30.74	47
0 0 4	30.96	33
1 3 5	53.39	27
1 1 5	48.20	27
1 5 3	53.26	21
1 5 2	50.00	20
2 0 0	53.72	19
0 4 4	44.19	17

Structure:
Unit cell a=3.4129 b=11.6334 c=11.5544 alpha=90.00 beta=90.00 gamma=90.00
Space group Cmcm (No. 63)
One atom of each set of equivalent atoms:
La 0.0000 0.0919 0.2500 (multiplicity 4)
Er 0.0000 0.3693 0.0434 (multiplicity 8)
Cr 0.0000 0.1695 0.7500 (multiplicity 4)
N 0.0000 0.0000 0.0000 (multiplicity 4)
N 0.0000 0.2629 0.6241 (multiplicity 8)
N 0.0000 0.4170 0.2500 (multiplicity 4)

***

(3)
Starting from a DFT-relaxed cell (GGA-PBE, Alexandria), the powder diffraction line list of ErLuCrRu was computed for Cu Kα (λ = 1.5418 Å).
Lines closer than 0.1° are merged.

Top 11 peaks for 2θ from 10° to 90°, by intensity:
(hkl)	2θ (°)	I/Imax
2 2 0	37.22	100
4 2 2	67.12	35
4 0 0	53.66	17
2 0 0	26.09	16
4 4 0	79.33	11
4 2 0	60.61	7
2 2 2	46.02	5
6 0 0	85.22	4
1 1 1	22.54	2
3 1 1	43.95	1
3 3 1	58.92	1

Structure:
Unit cell a=6.8321 b=6.8321 c=6.8321 alpha=90.00 beta=90.00 gamma=90.00
Space group F-43m (No. 216)
One atom of each set of equivalent atoms:
Er 0.0000 0.0000 0.0000 (multiplicity 4)
Lu 0.0000 0.0000 0.5000 (multiplicity 4)
Cr 0.2500 0.2500 0.2500 (multiplicity 4)
Ru 0.2500 0.2500 0.7500 (multiplicity 4)

***

(4)
Starting from a DFT-relaxed cell (GGA-PBE, Alexandria), the powder diffraction line list of ErMnCr was computed for Cu Kα (λ = 1.5418 Å).
Lines closer than 0.1° are merged.

Top 12 peaks for 2θ from 10° to 90°, by intensity:
(hkl)	2θ (°)	I/Imax
0 4 4	40.08	100
1 3 3	36.14	72
1 1 1	22.34	71
1 3 1	33.65	66
0 0 8	36.80	57
1 1 7	39.15	52
2 0 2	41.75	49
1 1 5	31.76	46
2 2 4	48.51	34
2 4 6	62.52	31
1 1 3	25.84	29
1 3 5	40.74	28

Structure:
Unit cell a=4.4375 b=10.1383 c=19.5368 alpha=90.00 beta=90.00 gamma=90.00
Space group Fddd (No. 70, origin choice 2)
One atom of each set of equivalent atoms:
Er 0.1250 0.2689 0.1250 (multiplicity 16)
Mn 0.1250 0.1250 0.2534 (multiplicity 16)
Cr 0.1250 0.1250 0.5277 (multiplicity 16)

***

(5)
Starting from a DFT-relaxed cell (GGA-PBE, Alexandria), the powder diffraction line list of Er2Mn16Cr was computed for Cu Kα (λ = 1.5418 Å).
Lines closer than 0.1° are merged.

Top 12 peaks for 2θ from 10° to 90°, by intensity:
(hkl)	2θ (°)	I/Imax
3 0 3	43.26	100
2 2 0	41.99	87
0 2 4	39.31	62
3 0 0	36.16	48
1 1 3	31.05	48
2 1 4	44.80	32
1 4 3	61.87	28
2 1 1	32.71	27
2 0 5	46.00	22
0 0 6	46.88	19
0 4 8	84.54	19
3 2 4	63.08	17

Structure:
Unit cell a=8.6060 b=8.6060 c=11.6281 alpha=90.00 beta=90.00 gamma=120.00
Space group R3m (No. 160, hexagonal axes)
One atom of each set of equivalent atoms:
Er 0.0000 0.0000 0.0000 (multiplicity 3)
Er 0.0000 0.0000 0.2917 (multiplicity 3)
Mn 0.0000 0.0000 0.7457 (multiplicity 3)
Mn 0.0003 0.2761 0.6460 (multiplicity 18)
Mn 0.0018 0.5009 0.1453 (multiplicity 9)
Mn 0.0132 0.5066 0.5087 (multiplicity 9)
Mn 0.1729 0.3458 0.1150 (multiplicity 9)
Cr 0.0000 0.0000 0.5490 (multiplicity 3)

***

(6)
Starting from a DFT-relaxed cell (GGA-PBE, Alexandria), the powder diffraction line list of ErCrN3 was computed for Cu Kα (λ = 1.5418 Å).
Lines closer than 0.1° are merged.

Top 12 peaks for 2θ from 10° to 90°, by intensity:
(hkl)	2θ (°)	I/Imax
2 2 -1	27.90	100
2 2 1	34.12	54
2 0 0	18.25	49
0 0 2	32.28	44
0 2 1	25.03	23
2 2 -3	50.91	23
1 3 -1	33.02	20
4 0 -2	40.89	19
4 2 -1	40.47	18
4 0 0	36.99	16
3 1 0	29.20	12
3 5 0	57.22	10

Structure:
Unit cell a=10.2482 b=9.2774 c=5.8479 alpha=90.00 beta=108.48 gamma=90.00
Space group C2/c (No. 15)
One atom of each set of equivalent atoms:
Er 0.0000 0.0888 0.2500 (multiplicity 4)
Er 0.0000 0.3275 0.7500 (multiplicity 4)
Cr 0.2101 0.4095 0.2486 (multiplicity 8)
N 0.1147 0.1143 0.6569 (multiplicity 8)
N 0.1331 0.2559 0.1479 (multiplicity 8)
N 0.1463 0.4753 0.4909 (multiplicity 8)

***

Please write out number 4 again, unchanged.
Starting from a DFT-relaxed cell (GGA-PBE, Alexandria), the powder diffraction line list of ErMnCr was computed for Cu Kα (λ = 1.5418 Å).
Lines closer than 0.1° are merged.

Top 12 peaks for 2θ from 10° to 90°, by intensity:
(hkl)	2θ (°)	I/Imax
0 4 4	40.08	100
1 3 3	36.14	72
1 1 1	22.34	71
1 3 1	33.65	66
0 0 8	36.80	57
1 1 7	39.15	52
2 0 2	41.75	49
1 1 5	31.76	46
2 2 4	48.51	34
2 4 6	62.52	31
1 1 3	25.84	29
1 3 5	40.74	28

Structure:
Unit cell a=4.4375 b=10.1383 c=19.5368 alpha=90.00 beta=90.00 gamma=90.00
Space group Fddd (No. 70, origin choice 2)
One atom of each set of equivalent atoms:
Er 0.1250 0.2689 0.1250 (multiplicity 16)
Mn 0.1250 0.1250 0.2534 (multiplicity 16)
Cr 0.1250 0.1250 0.5277 (multiplicity 16)